For LiBiB2O5, a DFT-relaxed cell (PBE, the Materials Project) gives the calculated powder X-ray diffraction pattern in this record (Cu Kα, 1.54184 Å).
Intensities are scaled so that the largest is 1000.

Peak list (10 most intense, 2θ from 10° to 90°, sorted by position)
2θ = 17.7°, I 440; 2θ = 18.1°, I 1000; 2θ = 24.5°, I 426; 2θ = 26.0°, I 213; 2θ = 29.6°, I 343; 2θ = 29.7°, I 265; 2θ = 31.1°, I 182; 2θ = 34.7°, I 180; 2θ = 37.9°, I 239; 2θ = 38.9°, I 372

Atomic structure:
```
data_LiBiB2O5
_symmetry_space_group_name_H-M 'P 1 21/c 1'
_symmetry_Int_Tables_number 14
_symmetry_space_group_name_Hall '-P 2ybc'
_cell_length_a 7.3245
_cell_length_b 10.0307
_cell_length_c 6.4587
_cell_angle_alpha 90.00
_cell_angle_beta 110.75
_cell_angle_gamma 90.00
loop_
_atom_site_label
_atom_site_fract_x
_atom_site_fract_y
_atom_site_fract_z
_atom_site_occupancy
Li1 0.2234 0.1962 0.2161 1
Bi1 0.2324 0.5489 0.2310 1
B1 0.1108 0.6446 0.7273 1
B2 0.4590 0.5926 0.7626 1
O1 0.0433 0.2102 0.9055 1
O2 0.0986 0.5417 0.8692 1
O3 0.3021 0.6798 0.7340 1
O4 0.3613 0.1456 0.7116 1
O5 0.4393 0.0438 0.2406 1
```

---

For LiBiB2O5, a DFT-relaxed cell (PBE, the Materials Project) gives the calculated powder X-ray diffraction pattern in this record (Cu Kα, 1.54184 Å).
Intensities are scaled so that the largest is 1000.

Peak list (10 most intense, 2θ from 10° to 90°, sorted by position)
2θ = 19.0°, I 1000; 2θ = 19.5°, I 320; 2θ = 20.2°, I 329; 2θ = 23.7°, I 635; 2θ = 30.1°, I 167; 2θ = 31.6°, I 190; 2θ = 33.1°, I 146; 2θ = 33.8°, I 161; 2θ = 39.0°, I 188; 2θ = 47.5°, I 139

Atomic structure:
```
data_LiBiB2O5
_symmetry_space_group_name_H-M 'C 1 2/c 1'
_symmetry_Int_Tables_number 15
_symmetry_space_group_name_Hall '-C 2yc'
_cell_length_a 10.4347
_cell_length_b 10.8590
_cell_length_c 10.2272
_cell_angle_alpha 90.00
_cell_angle_beta 116.90
_cell_angle_gamma 90.00
loop_
_atom_site_label
_atom_site_fract_x
_atom_site_fract_y
_atom_site_fract_z
_atom_site_occupancy
Li1 0.1900 0.1455 0.1569 1
Bi1 0.0000 0.1458 0.7500 1
Bi2 0.0000 0.4207 0.2500 1
B1 0.0776 0.3263 0.5295 1
B2 0.2308 0.0040 0.9099 1
O1 0.0318 0.2850 0.1046 1
O2 0.1080 0.2991 0.6676 1
O3 0.1624 0.4165 0.5000 1
O4 0.1726 0.0042 0.2619 1
O5 0.1926 0.0911 0.9813 1
```